# K5Au
Calculated X-ray diffraction stick pattern, a wavelength of 1.5418 Å. Input: a cell relaxed with PBE.

Crystal structure
a = 8.4945 Å, b = 8.4945 Å, c = 18.5546 Å
α = 90.00°, β = 90.00°, γ = 90.00°
Space group I4/mcm (No. 140)
Symmetry-distinct sites (fractional):
K 0.0000 0.0000 0.0000 [4 per cell]
K 0.1787 0.3213 0.1574 [16 per cell]
Au 0.0000 0.0000 0.2500 [4 per cell]

Peak list (8 most intense, 10 to 90 degrees two-theta, by angle)
(1 1 0), 2θ 14.7, I 976
(1 1 2), 2θ 17.6, I 600
(1 1 4), 2θ 24.2, I 1000
(2 0 4), 2θ 28.5, I 950
(2 2 0), 2θ 29.7, I 407
(3 1 0), 2θ 33.4, I 619
(3 1 2), 2θ 34.8, I 400
(3 1 8), 2θ 52.1, I 388

# Nd2HoPuSe5
Calculated X-ray diffraction stick pattern, a wavelength of 1.5418 Å. Input: a cell relaxed with PBE.

Crystal structure
a = 5.0774 Å, b = 5.0774 Å, c = 10.9056 Å
α = 90.00°, β = 90.00°, γ = 90.00°
Space group P4/mmm (No. 123)
Symmetry-distinct sites (fractional):
Nd 0.0000 0.0000 0.2119 [2 per cell]
Ho 0.5000 0.5000 0.0000 [1 per cell]
Pu 0.5000 0.5000 0.5000 [1 per cell]
Se 0.0000 0.0000 0.5000 [1 per cell]
Se 0.0000 0.5000 0.0000 [2 per cell]
Se 0.5000 0.5000 0.2510 [2 per cell]

Peak list (8 most intense, 10 to 90 degrees two-theta, by angle)
(1 0 2), 2θ 23.9, I 623
(1 1 0), 2θ 24.8, I 1000
(0 0 4), 2θ 32.8, I 386
(1 1 3), 2θ 35.1, I 345
(2 0 0), 2θ 35.4, I 805
(1 1 4), 2θ 41.6, I 362
(2 0 4), 2θ 49.0, I 501
(2 2 0), 2θ 50.9, I 286

# KHoAgTe2
Calculated X-ray diffraction stick pattern, a wavelength of 1.5418 Å. Input: a cell relaxed with PBE.

Crystal structure
a = 8.2678 Å, b = 4.8427 Å, c = 8.6040 Å
α = 90.00°, β = 94.74°, γ = 90.00°
Space group P2/c (No. 13)
Symmetry-distinct sites (fractional):
K 0.0000 0.0766 0.2500 [2 per cell]
Ho 0.5000 0.4973 0.7500 [2 per cell]
Ag 0.5000 0.0000 0.0000 [2 per cell]
Te 0.2477 0.4006 0.9807 [4 per cell]

Peak list (8 most intense, 10 to 90 degrees two-theta, by angle)
(1 0 0), 2θ 10.7, I 1000
(0 1 0), 2θ 18.3, I 271
(2 0 -2), 2θ 28.8, I 221
(1 1 -2), 2θ 29.2, I 273
(1 1 2), 2θ 30.5, I 453
(2 1 -2), 2θ 34.3, I 475
(2 1 2), 2θ 36.5, I 406
(0 0 4), 2θ 42.2, I 201